Record 1
This entry pairs a crystal structure of CrMoW with its simulated powder diffractogram. Radiation: Cu Ka. Structure: DFT lattice parameters and positions (PBE).
Neutral-atom scattering factors, no anomalous dispersion.

Main lines, by angle (2θ from 10° to 90°):
hkl 0 0 1, 11.76 deg, 7.524 Å, rel. 411
hkl 0 1 2, 31.43 deg, 2.846 Å, rel. 181
hkl 1 1 1, 41.22 deg, 2.190 Å, rel. 1000
hkl 0 2 0, 41.54 deg, 2.174 Å, rel. 933
hkl 1 2 -2, 59.95 deg, 1.543 Å, rel. 317
hkl 1 3 1, 75.55 deg, 1.259 Å, rel. 213

Structure:
```
data_CrMoW
_chemical_formula_sum 'Cr2 Mo2 W2'
_space_group_name_H-M_alt 'P 1 m 1'
_space_group_IT_number 6
_space_group_name_Hall 'P -2y'
_cell_length_a 2.692
_cell_length_b 4.353
_cell_length_c 7.524
_cell_angle_alpha 90.00
_cell_angle_beta 90.02
_cell_angle_gamma 90.00
loop_
_atom_site_label
_atom_site_fract_x
_atom_site_fract_y
_atom_site_fract_z
Cr1 0.000 0.000 0.000
Cr2 0.335 0.500 0.160
Mo1 0.334 0.000 0.670
Mo2 0.666 0.500 0.845
W1 0.007 0.500 0.493
W2 0.666 0.000 0.316
```

=====

Record 2
This entry pairs a crystal structure of CrMoW6 with its simulated powder diffractogram. Radiation: Cu Ka. Structure: DFT lattice parameters and positions (PBE).
Neutral-atom scattering factors, no anomalous dispersion.

Main lines, by angle (2θ from 10° to 90°):
hkl 2 2 1, 40.45 deg, 2.230 Å, rel. 1000
hkl 0 4 0, 40.55 deg, 2.225 Å, rel. 199
hkl 0 4 2, 58.63 deg, 1.574 Å, rel. 135
hkl 4 4 0, 73.52 deg, 1.288 Å, rel. 138
hkl 2 2 3, 73.60 deg, 1.287 Å, rel. 138
hkl 2 6 1, 73.70 deg, 1.285 Å, rel. 138

Structure:
```
data_CrMoW6
_chemical_formula_sum 'Cr2 Mo2 W12'
_space_group_name_H-M_alt 'C m m m'
_space_group_IT_number 65
_space_group_name_Hall '-C 2 2'
_cell_length_a 6.318
_cell_length_b 8.899
_cell_length_c 4.457
_cell_angle_alpha 90.00
_cell_angle_beta 90.00
_cell_angle_gamma 90.00
loop_
_atom_site_label
_atom_site_fract_x
_atom_site_fract_y
_atom_site_fract_z
Cr1 0.000 0.000 0.000
Mo1 0.000 0.500 0.000
W1 0.000 0.249 0.500
W2 0.246 0.000 0.500
W3 0.250 0.250 0.000
```

=====

Record 3
This entry pairs a crystal structure of CrMo6W8 with its simulated powder diffractogram. Radiation: Cu Ka. Structure: DFT lattice parameters and positions (PBE).
Neutral-atom scattering factors, no anomalous dispersion.

Main lines, by angle (2θ from 10° to 90°):
hkl 3 -1 1, 39.69 deg, 2.271 Å, rel. 1000
hkl 1 1 6, 40.77 deg, 2.213 Å, rel. 680
hkl 3 -2 5, 47.74 deg, 1.905 Å, rel. 169
hkl 4 -3 7, 67.58 deg, 1.386 Å, rel. 113
hkl 4 1 0, 71.29 deg, 1.323 Å, rel. 213
hkl 4 0 7, 73.48 deg, 1.289 Å, rel. 248

Structure:
```
data_CrMo6W8
_chemical_formula_sum 'Cr3 Mo18 W24'
_space_group_name_H-M_alt 'R -3'
_space_group_IT_number 148
_space_group_name_Hall '-R 3'
_cell_length_a 7.0023
_cell_length_b 7.0023
_cell_length_c 17.1326
_cell_angle_alpha 90.00
_cell_angle_beta 90.00
_cell_angle_gamma 120.00
loop_
_atom_site_label
_atom_site_fract_x
_atom_site_fract_y
_atom_site_fract_z
Cr1 0.0000 0.0000 0.0000
Mo1 0.0117 0.2513 0.7065
W1 0.0000 0.0000 0.4231
W2 0.0402 0.7864 0.1279
```

=====

Record 4
This entry pairs a crystal structure of ZnCr2Mo with its simulated powder diffractogram. Radiation: Cu Ka. Structure: DFT lattice parameters and positions (PBE).
Neutral-atom scattering factors, no anomalous dispersion.

Main lines, by angle (2θ from 10° to 90°):
hkl 0 0 9, 31.78 deg, 2.816 Å, rel. 126
hkl 1 0 4, 40.51 deg, 2.227 Å, rel. 1000
hkl 0 0 12, 42.82 deg, 2.112 Å, rel. 222
hkl 0 1 8, 47.82 deg, 1.902 Å, rel. 550
hkl 1 1 0, 68.30 deg, 1.373 Å, rel. 197
hkl 1 1 12, 84.08 deg, 1.151 Å, rel. 169

Structure:
```
data_ZnCr2Mo
_chemical_formula_sum 'Zn3 Cr6 Mo3'
_space_group_name_H-M_alt 'R 3 m'
_space_group_IT_number 160
_space_group_name_Hall 'R 3 -2"'
_cell_length_a 2.7464
_cell_length_b 2.7464
_cell_length_c 25.3424
_cell_angle_alpha 90.00
_cell_angle_beta 90.00
_cell_angle_gamma 120.00
loop_
_atom_site_label
_atom_site_fract_x
_atom_site_fract_y
_atom_site_fract_z
Zn1 0.0000 0.0000 0.0000
Cr1 0.0000 0.0000 0.2461
Cr2 0.0000 0.0000 0.5142
Mo1 0.0000 0.0000 0.7597
```

=====

Record 5
This entry pairs a crystal structure of ZnCr4Mo with its simulated powder diffractogram. Radiation: Cu Ka. Structure: DFT lattice parameters and positions (PBE).
Neutral-atom scattering factors, no anomalous dispersion.

Main lines, by angle (2θ from 10° to 90°):
hkl 2 2 0, 37.66 deg, 2.389 Å, rel. 457
hkl 3 1 1, 44.47 deg, 2.037 Å, rel. 1000
hkl 2 2 2, 46.57 deg, 1.950 Å, rel. 255
hkl 4 2 2, 67.97 deg, 1.379 Å, rel. 151
hkl 5 1 1, 72.73 deg, 1.300 Å, rel. 279
hkl 4 4 0, 80.40 deg, 1.194 Å, rel. 218

Structure:
```
data_ZnCr4Mo
_chemical_formula_sum 'Zn4 Cr16 Mo4'
_space_group_name_H-M_alt 'F -4 3 m'
_space_group_IT_number 216
_space_group_name_Hall 'F -4 2 3'
_cell_length_a 6.756
_cell_length_b 6.756
_cell_length_c 6.756
_cell_angle_alpha 90.00
_cell_angle_beta 90.00
_cell_angle_gamma 90.00
loop_
_atom_site_label
_atom_site_fract_x
_atom_site_fract_y
_atom_site_fract_z
Zn1 0.000 0.000 0.000
Cr1 0.126 0.126 0.626
Mo1 0.250 0.250 0.250
```

=====

Record 6
This entry pairs a crystal structure of ZnCr2Mo with its simulated powder diffractogram. Radiation: Cu Ka. Structure: DFT lattice parameters and positions (PBE).
Neutral-atom scattering factors, no anomalous dispersion.

Main lines, by angle (2θ from 10° to 90°):
hkl 1 1 2, 42.59 deg, 2.123 Å, rel. 1000
hkl 0 0 4, 42.69 deg, 2.118 Å, rel. 227
hkl 0 2 0, 43.21 deg, 2.094 Å, rel. 246
hkl 0 2 4, 62.36 deg, 1.489 Å, rel. 139
hkl 1 1 6, 78.10 deg, 1.224 Å, rel. 118
hkl 1 3 2, 78.81 deg, 1.214 Å, rel. 150

Structure:
```
data_ZnCr2Mo
_chemical_formula_sum 'Zn2 Cr4 Mo2'
_space_group_name_H-M_alt 'C m m 2'
_space_group_IT_number 35
_space_group_name_Hall 'C 2 -2'
_cell_length_a 3.027
_cell_length_b 4.188
_cell_length_c 8.471
_cell_angle_alpha 90.00
_cell_angle_beta 90.00
_cell_angle_gamma 90.00
loop_
_atom_site_label
_atom_site_fract_x
_atom_site_fract_y
_atom_site_fract_z
Zn1 0.000 0.000 0.000
Cr1 0.000 0.000 0.528
Cr2 0.000 0.500 0.748
Mo1 0.000 0.500 0.275
```